Computed powder diffractogram of LaPm2Sm8 for Cu Kα (λ = 1.5418 Å), from a structure optimized by DFT (GGA-PBE).

Top 8 peaks for 2θ = 5–70°, in order of rising 2θ:
Position (°2θ)  I (rel.)
29.22  28
31.39  100
31.57  35
31.93  15
32.66  12
33.34  14
56.10  19
61.68  13

Structural model:
```
data_LaPm2Sm8
_space_group_name_H-M_alt 'P 1'
_space_group_IT_number 1
_cell_length_a 9.510
_cell_length_b 9.510
_cell_length_c 9.510
_cell_angle_alpha 145.32
_cell_angle_beta 127.94
_cell_angle_gamma 64.08
loop_
_space_group_symop_operation_xyz
'x,y,z'
loop_
_atom_site_label
_atom_site_type_symbol
_atom_site_fract_x
_atom_site_fract_y
_atom_site_fract_z
La1 La 0.000 0.000 0.000
Pm1 Pm 0.300 0.300 0.000
Pm2 Pm 0.700 0.700 0.000
Sm1 Sm 0.156 0.861 0.295
Sm2 Sm 0.161 0.661 0.500
Sm3 Sm 0.295 0.500 0.795
Sm4 Sm 0.434 0.139 0.295
Sm5 Sm 0.566 0.861 0.705
Sm6 Sm 0.705 0.500 0.205
Sm7 Sm 0.839 0.339 0.500
Sm8 Sm 0.844 0.139 0.705
```